1.
Diffraction record for CaTiS3O12. The X-ray diffraction stick pattern is computed, not measured: it uses a DFT-relaxed cell (GGA-PBE, the Materials Project) and Cu Kα.
Intensities are scaled so that the largest is 100.

Crystal structure
Cell: 9.0640 9.0640 9.0640 Å, 59.47 59.47 59.47°
Fractional positions:
Ca: 0.0000 0.0000 0.0000
Ca: 0.5000 0.5000 0.5000
Ti: 0.2780 0.2780 0.2780
Ti: 0.7780 0.7780 0.7780
S: 0.0839 0.4188 0.6513
S: 0.1513 0.9188 0.5839
S: 0.4188 0.6513 0.0839
S: 0.5839 0.1513 0.9188
S: 0.6513 0.0839 0.4188
S: 0.9188 0.5839 0.1513
O: 0.0256 0.2768 0.8154
O: 0.0983 0.4246 0.1580
O: 0.1187 0.3938 0.4824
O: 0.1386 0.9366 0.7397
O: 0.1580 0.0983 0.4246
O: 0.2397 0.4366 0.6386
O: 0.2768 0.8154 0.0256
O: 0.3154 0.7768 0.5256
O: 0.3938 0.4824 0.1187
O: 0.4246 0.1580 0.0983
O: 0.4366 0.6386 0.2397
O: 0.4824 0.1187 0.3938
O: 0.5256 0.3154 0.7768
O: 0.5983 0.6580 0.9246
O: 0.6187 0.9824 0.8938
O: 0.6386 0.2397 0.4366
O: 0.6580 0.9246 0.5983
O: 0.7397 0.1386 0.9366
O: 0.7768 0.5256 0.3154
O: 0.8154 0.0256 0.2768
O: 0.8938 0.6187 0.9824
O: 0.9246 0.5983 0.6580
O: 0.9366 0.7397 0.1386
O: 0.9824 0.8938 0.6187

Most intense lines, 2θ from 5° to 70°, by angle:
| 2θ (°) | I (rel.) |
| --- | --- |
| 13.87 | 42.8 |
| 19.59 | 30.3 |
| 23.12 | 100.0 |
| 27.96 | 35.0 |
| 31.23 | 21.4 |
| 34.52 | 15.7 |

---

2.
Diffraction record for Mg6CdC. The X-ray diffraction stick pattern is computed, not measured: it uses a DFT-relaxed cell (GGA-PBE, the Materials Project) and Cu Kα.
Intensities are scaled so that the largest is 100.

Crystal structure
Cell: 4.6181 6.3824 11.1460 Å, 90.00 90.00 90.00°
Fractional positions:
Mg: 0.0000 0.0000 0.0000
Mg: 0.0000 0.2102 0.2750
Mg: 0.0000 0.2898 0.7751
Mg: 0.0000 0.5000 0.5000
Mg: 0.0000 0.7102 0.7751
Mg: 0.0000 0.7898 0.2750
Mg: 0.5000 0.0000 0.8247
Mg: 0.5000 0.2439 0.0889
Mg: 0.5000 0.2561 0.5889
Mg: 0.5000 0.5000 0.3247
Mg: 0.5000 0.7439 0.5889
Mg: 0.5000 0.7561 0.0889
Cd: 0.0000 0.0000 0.5360
Cd: 0.0000 0.5000 0.0360
C: 0.5000 0.0000 0.2334
C: 0.5000 0.5000 0.7334

Most intense lines, 2θ from 5° to 70°, by angle:
| 2θ (°) | I (rel.) |
| --- | --- |
| 15.96 | 68.8 |
| 25.09 | 64.6 |
| 27.78 | 27.3 |
| 32.12 | 27.2 |
| 37.88 | 100.0 |
| 39.01 | 27.6 |

---

3.
Diffraction record for UAgF6. The X-ray diffraction stick pattern is computed, not measured: it uses a DFT-relaxed cell (GGA-PBE, the Materials Project) and Cu Kα.
Intensities are scaled so that the largest is 100.

Crystal structure
Cell: 5.4078 5.4078 9.2189 Å, 90.00 90.00 90.00°
Fractional positions:
U: 0.0000 0.0000 0.0000
U: 0.0000 0.0000 0.5000
Ag: 0.5000 0.5000 0.2500
Ag: 0.5000 0.5000 0.7500
F: 0.2016 0.2016 0.1531
F: 0.2016 0.2016 0.8469
F: 0.2016 0.7984 0.3469
F: 0.2016 0.7984 0.6531
F: 0.2743 0.2743 0.5000
F: 0.2743 0.7257 0.0000
F: 0.7257 0.2743 0.0000
F: 0.7257 0.7257 0.5000
F: 0.7984 0.2016 0.3469
F: 0.7984 0.2016 0.6531
F: 0.7984 0.7984 0.1531
F: 0.7984 0.7984 0.8469

Most intense lines, 2θ from 5° to 70°, by angle:
| 2θ (°) | I (rel.) |
| --- | --- |
| 16.39 | 22.0 |
| 23.26 | 71.1 |
| 25.39 | 100.0 |
| 42.20 | 61.7 |
| 45.98 | 21.9 |
| 52.15 | 16.5 |